Structure and simulated powder X-ray diffraction pattern of CoBiPb2 (a cell relaxed with GGA-PBE; λ = 1.5418 Å (Cu Kα)).
Lines closer than 0.1° are merged.

Structure:
```
data_CoBiPb2
_chemical_formula_sum 'Co4 Bi4 Pb8'
_space_group_name_H-M_alt 'F -4 3 m'
_space_group_IT_number 216
_space_group_name_Hall 'F -4 2 3'
_cell_length_a 7.4077
_cell_length_b 7.4077
_cell_length_c 7.4077
_cell_angle_alpha 90.00
_cell_angle_beta 90.00
_cell_angle_gamma 90.00
loop_
_atom_site_label
_atom_site_type_symbol
_atom_site_fract_x
_atom_site_fract_y
_atom_site_fract_z
Co1 Co 0.0000 0.0000 0.0000
Bi1 Bi 0.2500 0.2500 0.7500
Pb1 Pb 0.0000 0.0000 0.5000
Pb2 Pb 0.2500 0.2500 0.2500
```

Main lines, by angle (10° ≤ 2θ ≤ 80°):
| 2θ/deg | d/Å | Rel. int. | index |
| --- | --- | --- | --- |
| 20.8 | 4.277 | 10 | 1 1 1 |
| 24.0 | 3.704 | 5 | 2 0 0 |
| 34.2 | 2.619 | 100 | 2 2 0 |
| 40.4 | 2.234 | 6 | 3 1 1 |
| 49.2 | 1.852 | 18 | 4 0 0 |
| 54.0 | 1.699 | 3 | 3 3 1 |
| 55.5 | 1.656 | 2 | 4 2 0 |
| 61.3 | 1.512 | 38 | 4 2 2 |
| 72.1 | 1.310 | 12 | 4 4 0 |
| 76.0 | 1.252 | 2 | 5 3 1 |

=====

Structure and simulated powder X-ray diffraction pattern of ZnCoBiPt (a cell relaxed with GGA-PBE; λ = 1.5418 Å (Cu Kα)).
Lines closer than 0.1° are merged.

Structure:
```
data_ZnCoBiPt
_chemical_formula_sum 'Zn4 Co4 Bi4 Pt4'
_space_group_name_H-M_alt 'F -4 3 m'
_space_group_IT_number 216
_space_group_name_Hall 'F -4 2 3'
_cell_length_a 6.4781
_cell_length_b 6.4781
_cell_length_c 6.4781
_cell_angle_alpha 90.00
_cell_angle_beta 90.00
_cell_angle_gamma 90.00
loop_
_atom_site_label
_atom_site_type_symbol
_atom_site_fract_x
_atom_site_fract_y
_atom_site_fract_z
Zn1 Zn 0.0000 0.0000 0.0000
Co1 Co 0.2500 0.2500 0.7500
Bi1 Bi 0.0000 0.0000 0.5000
Pt1 Pt 0.2500 0.2500 0.2500
```

Main lines, by angle (10° ≤ 2θ ≤ 80°):
| 2θ/deg | d/Å | Rel. int. | index |
| --- | --- | --- | --- |
| 23.8 | 3.740 | 29 | 1 1 1 |
| 39.3 | 2.290 | 100 | 2 2 0 |
| 46.5 | 1.953 | 16 | 3 1 1 |
| 56.9 | 1.620 | 17 | 4 0 0 |
| 62.5 | 1.486 | 7 | 3 3 1 |
| 71.3 | 1.322 | 35 | 4 2 2 |
| 76.4 | 1.247 | 5 | 5 1 1 |

=====

Structure and simulated powder X-ray diffraction pattern of Co2Bi8S (a cell relaxed with GGA-PBE; λ = 1.5418 Å (Cu Kα)).
Lines closer than 0.1° are merged.

Structure:
```
data_Co2Bi8S
_chemical_formula_sum 'Co8 Bi32 S4'
_space_group_name_H-M_alt 'P 42/m n m'
_space_group_IT_number 136
_space_group_name_Hall '-P 4n 2n'
_cell_length_a 11.1498
_cell_length_b 11.1498
_cell_length_c 9.5165
_cell_angle_alpha 90.00
_cell_angle_beta 90.00
_cell_angle_gamma 90.00
loop_
_atom_site_label
_atom_site_type_symbol
_atom_site_fract_x
_atom_site_fract_y
_atom_site_fract_z
Co1 Co 0.2071 0.2071 0.2349
Bi1 Bi 0.0000 0.0000 0.3214
Bi2 Bi 0.0537 0.6998 0.1876
Bi3 Bi 0.1069 0.1069 0.0000
Bi4 Bi 0.1809 0.1809 0.5000
Bi5 Bi 0.1939 0.8061 0.5000
S1 S 0.0000 0.5000 0.0000
```

Main lines, by angle (10° ≤ 2θ ≤ 80°):
| 2θ/deg | d/Å | Rel. int. | index |
| --- | --- | --- | --- |
| 25.7 | 3.462 | 29 | 3 0 1 |
| 28.9 | 3.092 | 36 | 3 2 0 |
| 30.4 | 2.942 | 37 | 3 2 1 |
| 31.6 | 2.833 | 60 | 3 1 2 |
| 33.1 | 2.704 | 29 | 4 1 0 |
| 33.5 | 2.676 | 100 | 2 1 3 |
| 34.1 | 2.628 | 42 | 3 3 0 |
| 38.3 | 2.351 | 36 | 4 1 2 |
| 41.6 | 2.171 | 35 | 5 0 1 |
| 52.8 | 1.734 | 27 | 5 2 3 |

=====

Structure and simulated powder X-ray diffraction pattern of CoBi10S10 (a cell relaxed with GGA-PBE; λ = 1.5418 Å (Cu Kα)).
Lines closer than 0.1° are merged.

Structure:
```
data_CoBi10S10
_chemical_formula_sum 'Co2 Bi20 S20'
_space_group_name_H-M_alt 'P b a m'
_space_group_IT_number 55
_cell_length_a 10.7387
_cell_length_b 12.5578
_cell_length_c 8.5495
_cell_angle_alpha 90.00
_cell_angle_beta 90.00
_cell_angle_gamma 90.00
loop_
_space_group_symop_operation_xyz
'x,y,z'
'-x,-y,-z'
'-x,-y,z'
'x,y,-z'
'x+1/2,-y+1/2,-z'
'-x+1/2,y+1/2,z'
'-x+1/2,y+1/2,-z'
'x+1/2,-y+1/2,z'
loop_
_atom_site_label
_atom_site_type_symbol
_atom_site_fract_x
_atom_site_fract_y
_atom_site_fract_z
Co1 Co 0.0000 0.0000 0.0000
Bi1 Bi 0.0000 0.5000 0.2344
Bi2 Bi 0.1344 0.0872 0.2190
Bi3 Bi 0.1396 0.8306 0.0000
Bi4 Bi 0.2475 0.3183 0.5000
S1 S 0.0059 0.8520 0.5000
S2 S 0.1468 0.5848 0.0000
S3 S 0.1547 0.3116 0.1945
S4 S 0.1717 0.5185 0.5000
```

Main lines, by angle (10° ≤ 2θ ≤ 80°):
| 2θ/deg | d/Å | Rel. int. | index |
| --- | --- | --- | --- |
| 21.8 | 4.081 | 35 | 2 2 0 |
| 22.8 | 3.900 | 28 | 1 3 0 |
| 25.2 | 3.534 | 50 | 0 2 2 |
| 25.9 | 3.442 | 35 | 3 1 0 |
| 26.6 | 3.354 | 100 | 1 2 2 |
| 27.6 | 3.232 | 59 | 2 1 2 |
| 29.6 | 3.013 | 62 | 1 4 0 |
| 33.4 | 2.681 | 44 | 3 1 2 |
| 42.3 | 2.137 | 28 | 0 0 4 |
| 42.6 | 2.123 | 32 | 1 5 2 |

=====

Structure and simulated powder X-ray diffraction pattern of Zr3Co4Bi2Sb2 (a cell relaxed with GGA-PBE; λ = 1.5418 Å (Cu Kα)).
Lines closer than 0.1° are merged.

Structure:
```
data_Zr3Co4Bi2Sb2
_chemical_formula_sum 'Zr6 Co8 Bi4 Sb4'
_space_group_name_H-M_alt 'I -4 2 m'
_space_group_IT_number 121
_space_group_name_Hall 'I -4 2'
_cell_length_a 6.1289
_cell_length_b 6.1289
_cell_length_c 12.3576
_cell_angle_alpha 90.00
_cell_angle_beta 90.00
_cell_angle_gamma 90.00
loop_
_atom_site_label
_atom_site_type_symbol
_atom_site_fract_x
_atom_site_fract_y
_atom_site_fract_z
Zr1 Zr 0.0000 0.0000 0.0000
Zr2 Zr 0.0000 0.5000 0.2500
Co1 Co 0.2483 0.2483 0.8713
Bi1 Bi 0.0000 0.5000 0.0000
Sb1 Sb 0.0000 0.0000 0.2555
```

Main lines, by angle (10° ≤ 2θ ≤ 80°):
| 2θ/deg | d/Å | Rel. int. | index |
| --- | --- | --- | --- |
| 25.1 | 3.548 | 54 | 1 1 2 |
| 28.9 | 3.089 | 22 | 0 0 4 |
| 29.1 | 3.064 | 44 | 2 0 0 |
| 41.5 | 2.176 | 100 | 2 0 4 |
| 41.7 | 2.167 | 50 | 2 2 0 |
| 49.3 | 1.849 | 18 | 3 1 2 |
| 51.5 | 1.774 | 18 | 2 2 4 |
| 60.4 | 1.532 | 16 | 4 0 0 |
| 75.6 | 1.258 | 16 | 2 2 8 |
| 76.0 | 1.253 | 33 | 4 2 4 |

=====

Structure and simulated powder X-ray diffraction pattern of Co2Bi8Se (a cell relaxed with GGA-PBE; λ = 1.5418 Å (Cu Kα)).
Lines closer than 0.1° are merged.

Structure:
```
data_Co2Bi8Se
_chemical_formula_sum 'Co8 Bi32 Se4'
_space_group_name_H-M_alt 'P 42/m n m'
_space_group_IT_number 136
_space_group_name_Hall '-P 4n 2n'
_cell_length_a 11.1860
_cell_length_b 11.1860
_cell_length_c 9.5644
_cell_angle_alpha 90.00
_cell_angle_beta 90.00
_cell_angle_gamma 90.00
loop_
_atom_site_label
_atom_site_type_symbol
_atom_site_fract_x
_atom_site_fract_y
_atom_site_fract_z
Co1 Co 0.2068 0.2068 0.2360
Bi1 Bi 0.0000 0.0000 0.3261
Bi2 Bi 0.0519 0.7056 0.1965
Bi3 Bi 0.1060 0.1060 0.0000
Bi4 Bi 0.1850 0.1850 0.5000
Bi5 Bi 0.1950 0.8050 0.5000
Se1 Se 0.0000 0.5000 0.0000
```

Main lines, by angle (10° ≤ 2θ ≤ 80°):
| 2θ/deg | d/Å | Rel. int. | index |
| --- | --- | --- | --- |
| 28.8 | 3.102 | 36 | 3 2 0 |
| 29.3 | 3.048 | 39 | 2 2 2 |
| 30.3 | 2.952 | 42 | 3 2 1 |
| 31.5 | 2.844 | 70 | 3 1 2 |
| 33.0 | 2.713 | 30 | 4 1 0 |
| 33.3 | 2.689 | 100 | 2 1 3 |
| 34.0 | 2.637 | 38 | 3 3 0 |
| 38.1 | 2.360 | 42 | 4 1 2 |
| 41.5 | 2.178 | 37 | 5 0 1 |
| 52.6 | 1.740 | 29 | 5 2 3 |

=====

Structure and simulated powder X-ray diffraction pattern of Ta4Co5Bi5 (a cell relaxed with GGA-PBE; λ = 1.5418 Å (Cu Kα)).
Lines closer than 0.1° are merged.

Structure:
```
data_Ta4Co5Bi5
_chemical_formula_sum 'Ta8 Co10 Bi10'
_space_group_name_H-M_alt 'I -4'
_space_group_IT_number 82
_cell_length_a 9.5195
_cell_length_b 9.5195
_cell_length_c 6.0832
_cell_angle_alpha 90.00
_cell_angle_beta 90.00
_cell_angle_gamma 90.00
loop_
_space_group_symop_operation_xyz
'x,y,z'
'y,-x,-z'
'-x,-y,z'
'-y,x,-z'
'x+1/2,y+1/2,z+1/2'
'y+1/2,-x+1/2,-z+1/2'
'-x+1/2,-y+1/2,z+1/2'
'-y+1/2,x+1/2,-z+1/2'
loop_
_atom_site_label
_atom_site_type_symbol
_atom_site_fract_x
_atom_site_fract_y
_atom_site_fract_z
Ta1 Ta 0.0949 0.1979 0.2570
Co1 Co 0.0000 0.0000 0.0000
Co2 Co 0.1089 0.7162 0.4715
Bi1 Bi 0.0000 0.5000 0.2500
Bi2 Bi 0.0881 0.2229 0.7594
```

Main lines, by angle (10° ≤ 2θ ≤ 80°):
| 2θ/deg | d/Å | Rel. int. | index |
| --- | --- | --- | --- |
| 25.5 | 3.488 | 23 | 1 2 1 |
| 29.4 | 3.042 | 34 | 0 0 2 |
| 29.7 | 3.010 | 64 | 3 1 0 |
| 42.2 | 2.140 | 100 | 3 1 2 |
| 42.5 | 2.129 | 45 | 2 4 0 |
| 52.5 | 1.744 | 25 | 2 4 2 |
| 61.6 | 1.505 | 13 | 6 2 0 |
| 69.2 | 1.357 | 13 | 3 1 4 |
| 77.1 | 1.237 | 15 | 2 4 4 |
| 77.5 | 1.231 | 26 | 5 5 2 |

=====

Structure and simulated powder X-ray diffraction pattern of ZrTaCoBi (a cell relaxed with GGA-PBE; λ = 1.5418 Å (Cu Kα)).
Lines closer than 0.1° are merged.

Structure:
```
data_ZrTaCoBi
_chemical_formula_sum 'Zr4 Ta4 Co4 Bi4'
_space_group_name_H-M_alt 'F -4 3 m'
_space_group_IT_number 216
_space_group_name_Hall 'F -4 2 3'
_cell_length_a 6.7452
_cell_length_b 6.7452
_cell_length_c 6.7452
_cell_angle_alpha 90.00
_cell_angle_beta 90.00
_cell_angle_gamma 90.00
loop_
_atom_site_label
_atom_site_type_symbol
_atom_site_fract_x
_atom_site_fract_y
_atom_site_fract_z
Zr1 Zr 0.0000 0.0000 0.0000
Ta1 Ta 0.2500 0.2500 0.2500
Co1 Co 0.2500 0.2500 0.7500
Bi1 Bi 0.0000 0.0000 0.5000
```

Main lines, by angle (10° ≤ 2θ ≤ 80°):
| 2θ/deg | d/Å | Rel. int. | index |
| --- | --- | --- | --- |
| 22.8 | 3.894 | 21 | 1 1 1 |
| 26.4 | 3.373 | 1 | 2 0 0 |
| 37.7 | 2.385 | 100 | 2 2 0 |
| 44.6 | 2.034 | 12 | 3 1 1 |
| 54.4 | 1.686 | 17 | 4 0 0 |
| 59.8 | 1.547 | 5 | 3 3 1 |
| 61.5 | 1.508 | 1 | 4 2 0 |
| 68.1 | 1.377 | 35 | 4 2 2 |
| 72.9 | 1.298 | 4 | 5 1 1 |